Theoretical X-ray powder pattern of NaMg2Al6VSi6B3H3O31 for CuKα, from a DFT-relaxed cell (GGA+U, Alexandria).
Intensities are scaled so that the largest is 100.

Cell and atoms:
a b c (Å): 10.491 16.110 7.248
angles (deg): 90.00 117.49 90.00
Space group Cm (No. 8)
One atom of each set of equivalent atoms:
1 Na 0.000 0.000 0.000 [2 per cell]
2 Mg 0.088 0.091 0.652 [4 per cell]
3 Al 0.047 0.386 0.312 [4 per cell]
4 Al 0.050 0.279 0.648 [4 per cell]
5 Al 0.386 0.167 0.872 [4 per cell]
6 V 0.315 0.500 0.465 [2 per cell]
7 Si 0.207 0.405 0.031 [4 per cell]
8 Si 0.281 0.097 0.416 [4 per cell]
9 Si 0.498 0.309 0.227 [4 per cell]
10 B 0.326 0.000 0.992 [2 per cell]
11 B 0.328 0.334 0.659 [4 per cell]
12 H 0.102 0.500 0.583 [2 per cell]
13 H 0.195 0.199 0.979 [4 per cell]
14 O 0.007 0.193 0.456 [4 per cell]
15 O 0.068 0.356 0.858 [4 per cell]
16 O 0.097 0.500 0.445 [2 per cell]
17 O 0.135 0.140 0.228 [4 per cell]
18 O 0.178 0.333 0.569 [4 per cell]
19 O 0.182 0.000 0.873 [2 per cell]
20 O 0.197 0.201 0.845 [4 per cell]
21 O 0.198 0.409 0.249 [4 per cell]
22 O 0.212 0.500 0.944 [2 per cell]
23 O 0.274 0.000 0.340 [2 per cell]
24 O 0.279 0.103 0.637 [4 per cell]
25 O 0.356 0.361 0.060 [4 per cell]
26 O 0.401 0.407 0.684 [4 per cell]
27 O 0.403 0.259 0.721 [4 per cell]
28 O 0.404 0.075 0.054 [4 per cell]
29 O 0.424 0.142 0.429 [4 per cell]
30 O 0.485 0.500 0.439 [2 per cell]
31 O 0.493 0.215 0.141 [4 per cell]

Largest 10 diffraction maxima, low angle first, 15 to 90 degrees two-theta:
Position (°2θ)	d (Å)	I (rel.)	(hkl)
20.82	4.266	55.0	2 2 -1
22.06	4.029	62.1	2 2 0
25.39	3.508	43.1	2 0 -2
29.92	2.987	65.9	0 2 2
34.43	2.605	100.0	1 5 1
43.92	2.062	40.7	5 1 -2
46.87	1.938	29.0	1 7 -2
54.78	1.676	21.2	6 0 -3
57.16	1.611	18.6	5 5 0
63.34	1.468	22.2	5 5 -4